Structure and simulated XRD peak list of Li2NpCrO6 (a cell relaxed with PBE+U; Cu Ka).
Lines closer than 0.1° are merged.

Main lines, in order of falling intensity (2θ from 10° to 80°):
- 23.52 deg, I = 100
- 33.28 deg, I = 69
- 23.21 deg, I = 53
- 20.00 deg, I = 52
- 20.47 deg, I = 50
- 53.61 deg, I = 27
- 58.97 deg, I = 27
- 54.06 deg, I = 21
- 39.07 deg, I = 21
- 39.83 deg, I = 21

Cell and atoms:
```
data_Li2NpCrO6
_cell_length_a 5.261
_cell_length_b 5.444
_cell_length_c 9.296
_cell_angle_alpha 90.00
_cell_angle_beta 124.45
_cell_angle_gamma 90.00
_space_group_name_H-M_alt 'P 1 21/c 1'
_space_group_IT_number 14
loop_
_space_group_symop_operation_xyz
'x,y,z'
'-x,-y,-z'
'-x,y+1/2,-z+1/2'
'x,-y+1/2,z+1/2'
loop_
_atom_site_label
_atom_site_fract_x
_atom_site_fract_y
_atom_site_fract_z
Li1 0.245 0.025 0.249
Np1 0.000 0.000 0.500
Cr1 0.500 0.000 0.000
O1 0.134 0.050 0.752
O2 0.241 0.685 0.561
O3 0.381 0.186 0.561
```